# Te21Mo6I22
Computed X-ray diffraction stick pattern, Cu Kα X-rays. Input: a cell relaxed with GGA-PBE.

abc: 11.0315 13.1815 17.9627
angles: 83.54 80.53 71.24
Space group P1 (No. 1)
Asymmetric unit:
1 Te 0.0000 0.0000 0.0000 (multiplicity 1)
2 Te 0.0019 0.8847 0.3762 (multiplicity 1)
3 Te 0.0220 0.2319 0.5528 (multiplicity 1)
4 Te 0.0649 0.1912 0.9677 (multiplicity 1)
5 Te 0.1739 0.4880 0.4191 (multiplicity 1)
6 Te 0.1849 0.6017 0.0895 (multiplicity 1)
7 Te 0.2145 0.0088 0.8381 (multiplicity 1)
8 Te 0.3227 0.2712 0.0165 (multiplicity 1)
9 Te 0.3567 0.3880 0.6882 (multiplicity 1)
10 Te 0.3751 0.2441 0.5294 (multiplicity 1)
11 Te 0.4169 0.2326 0.8603 (multiplicity 1)
12 Te 0.4745 0.9208 0.8580 (multiplicity 1)
13 Te 0.5603 0.2154 0.0816 (multiplicity 1)
14 Te 0.6328 0.7459 0.2883 (multiplicity 1)
15 Te 0.6637 0.8859 0.0944 (multiplicity 1)
16 Te 0.6782 0.8638 0.4264 (multiplicity 1)
17 Te 0.6871 0.4333 0.8857 (multiplicity 1)
18 Te 0.7249 0.8849 0.9376 (multiplicity 1)
19 Te 0.8497 0.0576 0.1388 (multiplicity 1)
20 Te 0.8794 0.6316 0.5248 (multiplicity 1)
21 Te 0.8966 0.4917 0.8938 (multiplicity 1)
22 Mo 0.1727 0.3007 0.6308 (multiplicity 1)
23 Mo 0.2137 0.4428 0.5709 (multiplicity 1)
24 Mo 0.3199 0.0883 0.9369 (multiplicity 1)
25 Mo 0.7313 0.0493 0.0187 (multiplicity 1)
26 Mo 0.8321 0.6615 0.3717 (multiplicity 1)
27 Mo 0.8610 0.8050 0.3039 (multiplicity 1)
28 I 0.0952 0.7591 0.2027 (multiplicity 1)
29 I 0.1050 0.6984 0.9561 (multiplicity 1)
30 I 0.1273 0.5953 0.6807 (multiplicity 1)
31 I 0.1456 0.0200 0.6052 (multiplicity 1)
32 I 0.1562 0.2399 0.3990 (multiplicity 1)
33 I 0.2144 0.2697 0.1818 (multiplicity 1)
34 I 0.2494 0.6659 0.4403 (multiplicity 1)
35 I 0.3458 0.9859 0.0728 (multiplicity 1)
36 I 0.4205 0.9601 0.3935 (multiplicity 1)
37 I 0.4442 0.3897 0.3401 (multiplicity 1)
38 I 0.4889 0.6201 0.8596 (multiplicity 1)
39 I 0.5942 0.2232 0.6352 (multiplicity 1)
40 I 0.6040 0.7205 0.6081 (multiplicity 1)
41 I 0.6172 0.6116 0.1817 (multiplicity 1)
42 I 0.7373 0.1499 0.8787 (multiplicity 1)
43 I 0.7765 0.8889 0.7591 (multiplicity 1)
44 I 0.7964 0.4513 0.5037 (multiplicity 1)
45 I 0.8727 0.1006 0.3405 (multiplicity 1)
46 I 0.8913 0.8559 0.5532 (multiplicity 1)
47 I 0.9263 0.4683 0.0454 (multiplicity 1)
48 I 0.9344 0.3181 0.7172 (multiplicity 1)
49 I 0.9382 0.5039 0.2771 (multiplicity 1)

Most intense lines, 15 to 90 degrees two-theta, in order of rising 2θ:
4.829 Å, 2θ = 18.4°, I 76, hkl 2 2 1
4.418 Å, 2θ = 20.1°, I 97, hkl 2 2 -1
4.344 Å, 2θ = 20.4°, I 100, hkl 1 3 0
4.111 Å, 2θ = 21.6°, I 85, hkl -2 1 1
3.379 Å, 2θ = 26.4°, I 74, hkl 1 2 -4
3.213 Å, 2θ = 27.8°, I 77, hkl 1 0 -5
3.160 Å, 2θ = 28.2°, I 96, hkl 2 4 1
2.706 Å, 2θ = 33.1°, I 67, hkl 4 1 2

---

# NaNd4I7N2
Computed X-ray diffraction stick pattern, Cu Kα X-rays. Input: a cell relaxed with GGA-PBE.

abc: 14.4838 11.2090 12.1178
angles: 90.00 90.00 90.00
Space group Pna2_1 (No. 33)
Asymmetric unit:
1 Na 0.0971 0.0488 0.0000 (multiplicity 4)
2 Nd 0.0817 0.3769 0.3298 (multiplicity 4)
3 Nd 0.0841 0.6220 0.5643 (multiplicity 4)
4 Nd 0.0867 0.3983 0.8083 (multiplicity 4)
5 Nd 0.1000 0.5830 0.0712 (multiplicity 4)
6 I 0.0142 0.8471 0.7065 (multiplicity 4)
7 I 0.0225 0.1902 0.5373 (multiplicity 4)
8 I 0.0469 0.8164 0.3614 (multiplicity 4)
9 I 0.2047 0.3129 0.0408 (multiplicity 4)
10 I 0.2239 0.6315 0.8447 (multiplicity 4)
11 I 0.2303 0.4078 0.5831 (multiplicity 4)
12 I 0.2455 0.5643 0.2839 (multiplicity 4)
13 N 0.0030 0.4843 0.1937 (multiplicity 4)
14 N 0.0028 0.4952 0.9430 (multiplicity 4)

Most intense lines, 15 to 90 degrees two-theta, in order of rising 2θ:
3.365 Å, 2θ = 26.5°, I 19, hkl 2 1 3
3.198 Å, 2θ = 27.9°, I 24, hkl 1 2 3
3.131 Å, 2θ = 28.5°, I 100, hkl 3 2 2
3.029 Å, 2θ = 29.5°, I 21, hkl 0 0 4
2.992 Å, 2θ = 29.9°, I 14, hkl 4 1 2
2.953 Å, 2θ = 30.3°, I 15, hkl 3 3 0
2.912 Å, 2θ = 30.7°, I 15, hkl 2 3 2
2.867 Å, 2θ = 31.2°, I 14, hkl 1 1 4